No. 1
Simulated X-ray powder pattern
Compound: CaMnO2
Radiation: a wavelength of 1.5418 Å
Structure: DFT lattice parameters and positions (GGA+U)

Structure:
Unit cell a=3.3345 b=8.5968 c=8.7949 alpha=81.96 beta=86.91 gamma=82.64
Fractional coordinates of all 16 atoms:
Ca 0.0802 0.3782 0.2652
Ca 0.1940 0.1976 0.9495
Ca 0.8060 0.8024 0.0505
Ca 0.9198 0.6218 0.7348
Mn 0.2861 0.7319 0.3666
Mn 0.3215 0.9268 0.7282
Mn 0.6785 0.0732 0.2718
Mn 0.7139 0.2681 0.6334
O 0.1617 0.3679 0.7245
O 0.2324 0.9505 0.1913
O 0.3542 0.7258 0.8991
O 0.3907 0.7614 0.5815
O 0.6093 0.2386 0.4185
O 0.6458 0.2742 0.1009
O 0.7676 0.0495 0.8087
O 0.8383 0.6321 0.2755

Peak list (6 most intense, 10° ≤ 2θ ≤ 90°, most intense first)
Position (°2θ)  Rel. int.
32.1  100
36.3  76
20.4  68
31.4  53
41.2  52
21.0  51


No. 2
Simulated X-ray powder pattern
Compound: Li4Ti3V3Cr2O16
Radiation: a wavelength of 1.5418 Å
Structure: DFT lattice parameters and positions (GGA+U)

Structure:
Unit cell a=5.9247 b=5.9247 c=9.6282 alpha=90.12 beta=90.12 gamma=59.56
Fractional coordinates of all 28 atoms:
Li 0.0000 0.0000 0.0000
Li 0.0029 0.0029 0.5029
Li 0.3320 0.3320 0.6043
Li 0.6670 0.6670 0.1050
Ti 0.1661 0.6606 0.2817
Ti 0.6606 0.1661 0.2817
Ti 0.8325 0.8325 0.7764
V 0.1697 0.1697 0.2881
V 0.3467 0.8198 0.7888
V 0.8198 0.3467 0.7888
Cr 0.3323 0.3323 0.0114
Cr 0.6654 0.6654 0.5119
O 0.0396 0.4869 0.1580
O 0.1626 0.1626 0.8915
O 0.1672 0.6687 0.8929
O 0.3297 0.8327 0.3930
O 0.3448 0.3448 0.3961
O 0.4792 0.4792 0.1583
O 0.4869 0.0396 0.1580
O 0.5192 0.5192 0.6586
O 0.5233 0.9601 0.6586
O 0.6687 0.1672 0.8929
O 0.6771 0.6771 0.8998
O 0.8327 0.3297 0.3930
O 0.8363 0.8363 0.3939
O 0.9601 0.5233 0.6586
O 0.9953 0.9953 0.1856
O 0.9995 0.9995 0.6881

Peak list (6 most intense, 10° ≤ 2θ ≤ 90°, most intense first)
Position (°2θ)  Rel. int.
19.7  100
18.4  82
45.4  58
35.6  55
19.6  50
40.0  42


No. 3
Simulated X-ray powder pattern
Compound: ZnNi2O4
Radiation: a wavelength of 1.5418 Å
Structure: DFT lattice parameters and positions (GGA+U)

Structure:
Unit cell a=5.8436 b=5.8436 c=5.8436 alpha=118.96 beta=118.96 gamma=91.81
Fractional coordinates of all 14 atoms:
Zn 0.3750 0.1250 0.2500
Zn 0.6250 0.8750 0.7500
Ni 0.0000 0.0000 0.5000
Ni 0.0000 0.5000 0.0000
Ni 0.0000 0.5000 0.5000
Ni 0.5000 0.5000 0.0000
O 0.2131 0.7154 0.4566
O 0.2154 0.2589 0.5023
O 0.2412 0.2434 0.9566
O 0.2566 0.7131 0.9977
O 0.7434 0.2869 0.0023
O 0.7588 0.7566 0.0434
O 0.7846 0.7412 0.4977
O 0.7869 0.2846 0.5434

Peak list (6 most intense, 10° ≤ 2θ ≤ 90°, most intense first)
Position (°2θ)  Rel. int.
35.6  100
36.4  45
63.7  39
30.6  31
57.1  30
62.6  21